# 1
Structure and calculated powder XRD pattern of Cs3Rb3Zn2O5 (a cell relaxed with GGA-PBE; Cu Kα (λ = 1.5418 Å)).

Principal peaks in the range 2θ from 10° to 90°, in order of falling intensity:
two_theta	intensity
29.48	100
28.99	56
28.75	28
36.97	21
32.32	16
34.90	14
47.94	13
40.64	12
38.02	11
46.93	11

Unit cell a=7.046 b=7.046 c=6.995 alpha=91.62 beta=91.62 gamma=118.92
Fractional coordinates of all 13 atoms:
1 Cs 0.000 0.000 0.000
2 Cs 0.103 0.584 0.683
3 Cs 0.584 0.103 0.683
4 Rb 0.130 0.562 0.188
5 Rb 0.562 0.130 0.188
6 Rb 0.693 0.693 0.361
7 Zn 0.156 0.156 0.483
8 Zn 0.547 0.547 0.865
9 O 0.177 0.909 0.400
10 O 0.397 0.397 0.625
11 O 0.504 0.773 0.975
12 O 0.773 0.504 0.975
13 O 0.909 0.177 0.400

# 2
Structure and calculated powder XRD pattern of Cs3Rb3Zn2O5 (a cell relaxed with GGA-PBE; Cu Kα (λ = 1.5418 Å)).

Principal peaks in the range 2θ from 10° to 90°, in order of falling intensity:
two_theta	intensity
29.33	100
28.95	87
29.19	56
36.72	33
28.76	27
32.16	24
35.01	22
47.58	21
46.67	17
40.53	17

Unit cell a=7.086 b=7.086 c=7.028 alpha=91.33 beta=91.33 gamma=119.42
Fractional coordinates of all 13 atoms:
1 Cs 0.000 0.000 0.000
2 Cs 0.419 0.897 0.316
3 Cs 0.897 0.419 0.316
4 Rb 0.310 0.310 0.637
5 Rb 0.438 0.875 0.811
6 Rb 0.875 0.438 0.811
7 Zn 0.454 0.454 0.133
8 Zn 0.847 0.847 0.515
9 O 0.091 0.824 0.598
10 O 0.231 0.497 0.024
11 O 0.497 0.231 0.024
12 O 0.608 0.608 0.370
13 O 0.824 0.091 0.598

# 3
Structure and calculated powder XRD pattern of Cs2Rb4Zn2O5 (a cell relaxed with GGA-PBE; Cu Kα (λ = 1.5418 Å)).

Principal peaks in the range 2θ from 10° to 90°, in order of falling intensity:
two_theta	intensity
29.58	100
29.01	90
29.47	55
37.05	33
34.95	26
32.36	25
28.84	24
38.06	21
48.03	21
36.82	19

Unit cell a=7.040 b=7.040 c=6.976 alpha=91.64 beta=91.64 gamma=118.89
Fractional coordinates of all 13 atoms:
1 Cs 0.241 0.759 0.000
2 Cs 0.759 0.241 0.000
3 Rb 0.214 0.787 0.504
4 Rb 0.347 0.347 0.680
5 Rb 0.640 0.640 0.332
6 Rb 0.787 0.214 0.504
7 Zn 0.204 0.204 0.182
8 Zn 0.808 0.808 0.801
9 O 0.048 0.048 0.945
10 O 0.166 0.433 0.292
11 O 0.433 0.166 0.292
12 O 0.562 0.830 0.714
13 O 0.830 0.562 0.714

# 4
Structure and calculated powder XRD pattern of Cs3Rb3Zn2O5 (a cell relaxed with GGA-PBE; Cu Kα (λ = 1.5418 Å)).

Principal peaks in the range 2θ from 10° to 90°, in order of falling intensity:
two_theta	intensity
29.58	100
28.86	55
28.77	48
25.32	25
36.94	21
47.04	20
34.77	16
36.83	15
31.03	14
37.91	11

Unit cell a=7.040 b=7.040 c=6.979 alpha=91.72 beta=91.72 gamma=118.36
Fractional coordinates of all 13 atoms:
1 Cs 0.000 0.000 0.000
2 Cs 0.155 0.569 0.211
3 Cs 0.569 0.155 0.211
4 Rb 0.122 0.585 0.705
5 Rb 0.585 0.122 0.705
6 Rb 0.716 0.716 0.395
7 Zn 0.157 0.157 0.513
8 Zn 0.566 0.566 0.866
9 O 0.179 0.905 0.450
10 O 0.408 0.408 0.630
11 O 0.528 0.798 0.968
12 O 0.798 0.528 0.968
13 O 0.905 0.179 0.450

# 5
Structure and calculated powder XRD pattern of Cs4Rb2Zn2O5 (a cell relaxed with GGA-PBE; Cu Kα (λ = 1.5418 Å)).

Principal peaks in the range 2θ from 10° to 90°, in order of falling intensity:
two_theta	intensity
29.13	100
28.78	55
36.33	22
28.65	18
31.89	15
47.19	14
34.91	14
27.40	12
40.38	11
46.50	11

Unit cell a=7.117 b=7.117 c=7.072 alpha=91.11 beta=91.11 gamma=119.27
Fractional coordinates of all 13 atoms:
1 Cs 0.000 0.000 0.000
2 Cs 0.327 0.327 0.623
3 Cs 0.427 0.903 0.311
4 Cs 0.903 0.427 0.311
5 Rb 0.444 0.885 0.812
6 Rb 0.885 0.444 0.812
7 Zn 0.469 0.469 0.114
8 Zn 0.865 0.865 0.504
9 O 0.093 0.824 0.600
10 O 0.236 0.505 0.025
11 O 0.505 0.236 0.025
12 O 0.682 0.682 0.293
13 O 0.824 0.093 0.600

# 6
Structure and calculated powder XRD pattern of Cs3Rb3Zn2O5 (a cell relaxed with GGA-PBE; Cu Kα (λ = 1.5418 Å)).

Principal peaks in the range 2θ from 10° to 90°, in order of falling intensity:
two_theta	intensity
28.77	100
29.47	94
36.72	52
28.61	44
29.65	42
25.36	36
47.03	29
34.57	23
58.09	22
30.93	19

Unit cell a=7.032 b=7.032 c=7.025 alpha=91.72 beta=91.72 gamma=117.96
Fractional coordinates of all 13 atoms:
1 Cs 0.000 0.000 0.000
2 Cs 0.443 0.857 0.801
3 Cs 0.857 0.443 0.801
4 Rb 0.283 0.283 0.612
5 Rb 0.421 0.886 0.299
6 Rb 0.886 0.421 0.299
7 Zn 0.447 0.447 0.117
8 Zn 0.864 0.864 0.471
9 O 0.102 0.830 0.564
10 O 0.203 0.479 0.041
11 O 0.479 0.203 0.041
12 O 0.685 0.685 0.256
13 O 0.830 0.102 0.564